Starting from a structure optimized by DFT (PBE), the powder XRD pattern of Nd3Er3MgS8 was computed for Cu Kα.
Peak positions follow from Bragg's law for the DFT cell and can differ from measured ones.

Atomic structure:
Cell lengths 7.957, 7.957, 7.957 Å; angles 58.90, 58.90, 58.90 degrees
Element x y z (fractional)
Nd: 0.000 0.500 0.500
Nd: 0.500 0.000 0.500
Nd: 0.500 0.500 0.000
Er: 0.000 0.000 0.500
Er: 0.000 0.500 0.000
Er: 0.500 0.000 0.000
Mg: 0.500 0.500 0.500
S: 0.244 0.244 0.244
S: 0.249 0.739 0.739
S: 0.261 0.261 0.751
S: 0.261 0.751 0.261
S: 0.739 0.249 0.739
S: 0.739 0.739 0.249
S: 0.751 0.261 0.261
S: 0.756 0.756 0.756

Principal peaks in the range 2θ from 5° to 70°, in order of rising 2θ:
Position (°2θ), intensity
15.89, 29
22.35, 13
22.73, 13
27.23, 16
27.85, 45
32.09, 100
45.61, 36
46.42, 35
53.94, 8
54.65, 16
57.55, 18
67.11, 11


Starting from a structure optimized by DFT (PBE), the powder XRD pattern of Nd2Sm2Er2Mg was computed for Cu Kα.
Peak positions follow from Bragg's law for the DFT cell and can differ from measured ones.

Atomic structure:
Cell lengths 6.402, 6.402, 11.654 Å; angles 118.35, 118.35, 33.63 degrees
Element x y z (fractional)
Nd: 0.025 0.025 0.241
Nd: 0.975 0.975 0.759
Sm: 0.181 0.181 0.589
Sm: 0.819 0.819 0.411
Er: 0.243 0.243 0.122
Er: 0.757 0.757 0.878
Mg: 0.500 0.500 0.000

Principal peaks in the range 2θ from 5° to 70°, in order of rising 2θ:
Position (°2θ), intensity
25.46, 47
28.56, 23
29.16, 28
29.80, 34
30.20, 34
30.70, 76
33.05, 94
33.43, 100
33.70, 23
49.20, 22
56.59, 20
59.12, 24


Starting from a structure optimized by DFT (PBE), the powder XRD pattern of NdErMgTi was computed for Cu Kα.
Peak positions follow from Bragg's law for the DFT cell and can differ from measured ones.

Atomic structure:
Cell lengths 5.293, 5.293, 5.293 Å; angles 60.00, 60.00, 60.00 degrees
Element x y z (fractional)
Nd: 0.000 0.000 0.000
Er: 0.500 0.500 0.500
Mg: 0.250 0.250 0.250
Ti: 0.750 0.750 0.750

Principal peaks in the range 2θ from 5° to 70°, in order of rising 2θ:
Position (°2θ), intensity
20.55, 1
23.77, 46
33.87, 100
39.95, 1
41.81, 14
48.66, 18
54.85, 20
60.60, 37


Starting from a structure optimized by DFT (PBE), the powder XRD pattern of Nd6Y2Er3Mg was computed for Cu Kα.
Peak positions follow from Bragg's law for the DFT cell and can differ from measured ones.

Atomic structure:
Cell lengths 6.231, 6.231, 11.792 Å; angles 95.07, 95.07, 120.04 degrees
Element x y z (fractional)
Nd: 0.083 0.415 0.750
Nd: 0.249 0.249 0.248
Nd: 0.415 0.083 0.750
Nd: 0.585 0.917 0.250
Nd: 0.751 0.751 0.752
Nd: 0.917 0.585 0.250
Y: 0.333 0.667 0.500
Y: 0.667 0.333 0.500
Er: 0.167 0.833 0.000
Er: 0.500 0.500 0.000
Er: 0.833 0.167 0.000
Mg: 0.000 0.000 0.500

Principal peaks in the range 2θ from 5° to 70°, in order of rising 2θ:
Position (°2θ), intensity
7.62, 25
30.48, 100
30.82, 32
35.44, 67
50.77, 24
51.21, 23
60.38, 14
60.56, 19
60.61, 9
60.97, 14
63.44, 12
64.20, 4


Starting from a structure optimized by DFT (PBE), the powder XRD pattern of ErMgNi5 was computed for Cu Kα.
Peak positions follow from Bragg's law for the DFT cell and can differ from measured ones.

Atomic structure:
Cell lengths 7.998, 4.798, 10.179 Å; angles 90.00, 90.00, 90.00 degrees
Element x y z (fractional)
Er: 0.250 0.250 0.060
Er: 0.250 0.750 0.560
Er: 0.750 0.250 0.440
Er: 0.750 0.750 0.940
Mg: 0.136 0.250 0.361
Mg: 0.364 0.750 0.861
Mg: 0.636 0.250 0.139
Mg: 0.864 0.750 0.639
Ni: 0.047 0.250 0.604
Ni: 0.069 0.502 0.810
Ni: 0.069 0.998 0.810
Ni: 0.085 0.750 0.016
Ni: 0.188 0.750 0.241
Ni: 0.312 0.250 0.741
Ni: 0.415 0.250 0.516
Ni: 0.431 0.002 0.310
Ni: 0.431 0.498 0.310
Ni: 0.453 0.750 0.104
Ni: 0.547 0.250 0.896
Ni: 0.569 0.502 0.690
Ni: 0.569 0.998 0.690
Ni: 0.585 0.750 0.484
Ni: 0.688 0.750 0.259
Ni: 0.812 0.250 0.759
Ni: 0.915 0.250 0.984
Ni: 0.931 0.002 0.190
Ni: 0.931 0.498 0.190
Ni: 0.953 0.750 0.396

Principal peaks in the range 2θ from 5° to 70°, in order of rising 2θ:
Position (°2θ), intensity
20.69, 28
23.32, 44
32.31, 26
37.07, 47
37.49, 27
39.57, 93
39.68, 100
41.62, 31
43.20, 30
46.30, 42
47.80, 30
69.07, 35


Starting from a structure optimized by DFT (PBE), the powder XRD pattern of Er3Mg3Ni was computed for Cu Kα.
Peak positions follow from Bragg's law for the DFT cell and can differ from measured ones.

Atomic structure:
Cell lengths 9.987, 9.987, 9.987 Å; angles 60.00, 60.00, 60.00 degrees
Element x y z (fractional)
Er: 0.072 0.072 0.678
Er: 0.072 0.678 0.072
Er: 0.072 0.678 0.678
Er: 0.322 0.322 0.928
Er: 0.322 0.928 0.322
Er: 0.322 0.928 0.928
Er: 0.678 0.072 0.072
Er: 0.678 0.072 0.678
Er: 0.678 0.678 0.072
Er: 0.928 0.322 0.322
Er: 0.928 0.322 0.928
Er: 0.928 0.928 0.322
Mg: 0.000 0.500 0.500
Mg: 0.294 0.294 0.294
Mg: 0.294 0.294 0.617
Mg: 0.294 0.617 0.294
Mg: 0.383 0.706 0.706
Mg: 0.500 0.000 0.500
Mg: 0.500 0.500 0.000
Mg: 0.500 0.500 0.500
Mg: 0.617 0.294 0.294
Mg: 0.706 0.383 0.706
Mg: 0.706 0.706 0.383
Mg: 0.706 0.706 0.706
Ni: 0.000 0.000 0.000
Ni: 0.000 0.000 0.500
Ni: 0.000 0.500 0.000
Ni: 0.500 0.000 0.000

Principal peaks in the range 2θ from 5° to 70°, in order of rising 2θ:
Position (°2θ), intensity
10.85, 69
25.22, 39
27.53, 28
31.02, 74
32.95, 100
35.97, 57
45.89, 38
49.58, 26
53.08, 20
55.18, 67
67.65, 18
68.75, 18


Starting from a structure optimized by DFT (PBE), the powder XRD pattern of Er11Mg9Ni4 was computed for Cu Kα.
Peak positions follow from Bragg's law for the DFT cell and can differ from measured ones.

Atomic structure:
Cell lengths 13.205, 13.205, 3.560 Å; angles 90.00, 90.00, 113.33 degrees
Element x y z (fractional)
Er: 0.000 0.000 0.000
Er: 0.085 0.418 0.000
Er: 0.155 0.845 0.000
Er: 0.314 0.314 0.000
Er: 0.373 0.627 0.000
Er: 0.418 0.085 0.000
Er: 0.582 0.915 0.000
Er: 0.627 0.373 0.000
Er: 0.686 0.686 0.000
Er: 0.845 0.155 0.000
Er: 0.915 0.582 0.000
Mg: 0.079 0.220 0.500
Mg: 0.154 0.635 0.500
Mg: 0.220 0.079 0.500
Mg: 0.365 0.846 0.500
Mg: 0.500 0.500 0.500
Mg: 0.635 0.154 0.500
Mg: 0.780 0.921 0.500
Mg: 0.846 0.365 0.500
Mg: 0.921 0.780 0.500
Ni: 0.253 0.451 0.500
Ni: 0.451 0.253 0.500
Ni: 0.549 0.747 0.500
Ni: 0.747 0.549 0.500

Principal peaks in the range 2θ from 5° to 70°, in order of rising 2θ:
Position (°2θ), intensity
18.78, 38
24.20, 45
24.54, 44
25.01, 60
34.74, 81
35.08, 100
35.32, 98
37.40, 45
39.03, 34
43.30, 29
51.31, 33
63.48, 30


Starting from a structure optimized by DFT (PBE), the powder XRD pattern of Er5Mg4Ni2 was computed for Cu Kα.
Peak positions follow from Bragg's law for the DFT cell and can differ from measured ones.

Atomic structure:
Cell lengths 8.035, 18.304, 3.514 Å; angles 90.00, 90.00, 90.00 degrees
Element x y z (fractional)
Er: 0.000 0.000 0.000
Er: 0.126 0.408 0.000
Er: 0.232 0.723 0.000
Er: 0.268 0.223 0.000
Er: 0.374 0.908 0.000
Er: 0.500 0.500 0.000
Er: 0.626 0.092 0.000
Er: 0.732 0.777 0.000
Er: 0.768 0.277 0.000
Er: 0.874 0.592 0.000
Mg: 0.050 0.849 0.500
Mg: 0.200 0.567 0.500
Mg: 0.300 0.067 0.500
Mg: 0.450 0.349 0.500
Mg: 0.550 0.651 0.500
Mg: 0.700 0.933 0.500
Mg: 0.800 0.433 0.500
Mg: 0.950 0.151 0.500
Ni: 0.042 0.301 0.500
Ni: 0.458 0.801 0.500
Ni: 0.542 0.199 0.500
Ni: 0.958 0.699 0.500

Principal peaks in the range 2θ from 5° to 70°, in order of rising 2θ:
Position (°2θ), intensity
18.26, 54
22.36, 37
24.19, 41
25.35, 57
26.57, 28
31.38, 36
33.85, 38
34.05, 68
35.32, 100
36.12, 33
37.03, 77
37.19, 56


Starting from a structure optimized by DFT (PBE), the powder XRD pattern of ErMgNi10 was computed for Cu Kα.
Peak positions follow from Bragg's law for the DFT cell and can differ from measured ones.

Atomic structure:
Cell lengths 3.979, 4.786, 8.277 Å; angles 90.00, 90.00, 90.00 degrees
Element x y z (fractional)
Er: 0.000 0.000 0.000
Mg: 0.000 0.500 0.500
Ni: 0.000 0.000 0.339
Ni: 0.000 0.000 0.661
Ni: 0.000 0.500 0.175
Ni: 0.000 0.500 0.825
Ni: 0.500 0.000 0.500
Ni: 0.500 0.250 0.252
Ni: 0.500 0.250 0.748
Ni: 0.500 0.500 0.000
Ni: 0.500 0.750 0.252
Ni: 0.500 0.750 0.748

Principal peaks in the range 2θ from 5° to 70°, in order of rising 2θ:
Position (°2θ), intensity
10.69, 24
18.54, 9
28.51, 8
31.17, 29
36.52, 9
37.62, 24
43.71, 31
44.19, 100
45.60, 35
49.63, 23
60.55, 13
65.01, 18


Starting from a structure optimized by DFT (PBE), the powder XRD pattern of ErMgRhO4 was computed for Cu Kα.
Peak positions follow from Bragg's law for the DFT cell and can differ from measured ones.

Atomic structure:
Cell lengths 6.248, 6.248, 6.248 Å; angles 118.91, 117.25, 93.37 degrees
Element x y z (fractional)
Er: 0.000 0.000 0.000
Er: 0.500 0.000 0.500
Mg: 0.361 0.611 0.750
Mg: 0.639 0.389 0.250
Rh: 0.000 0.000 0.500
Rh: 0.000 0.500 0.000
O: 0.205 0.736 0.469
O: 0.232 0.264 0.969
O: 0.246 0.232 0.486
O: 0.246 0.760 0.014
O: 0.754 0.240 0.986
O: 0.754 0.768 0.514
O: 0.768 0.736 0.031
O: 0.795 0.264 0.531

Principal peaks in the range 2θ from 5° to 70°, in order of rising 2θ:
Position (°2θ), intensity
17.11, 48
17.38, 100
32.64, 66
33.08, 27
34.41, 32
34.61, 36
35.17, 37
39.66, 57
42.16, 24
44.55, 21
52.68, 19
59.27, 44


Starting from a structure optimized by DFT (PBE), the powder XRD pattern of Er2MgP3Rh12 was computed for Cu Kα.
Peak positions follow from Bragg's law for the DFT cell and can differ from measured ones.

Atomic structure:
Cell lengths 6.650, 6.650, 6.650 Å; angles 83.13, 83.13, 83.13 degrees
Element x y z (fractional)
Er: 0.127 0.127 0.127
Er: 0.873 0.873 0.873
Mg: 0.500 0.500 0.500
P: 0.000 0.500 0.500
P: 0.500 0.000 0.500
P: 0.500 0.500 0.000
Rh: 0.129 0.129 0.595
Rh: 0.129 0.595 0.129
Rh: 0.169 0.676 0.676
Rh: 0.324 0.324 0.831
Rh: 0.324 0.831 0.324
Rh: 0.405 0.871 0.871
Rh: 0.595 0.129 0.129
Rh: 0.676 0.169 0.676
Rh: 0.676 0.676 0.169
Rh: 0.831 0.324 0.324
Rh: 0.871 0.405 0.871
Rh: 0.871 0.871 0.405

Principal peaks in the range 2θ from 5° to 70°, in order of rising 2θ:
Position (°2θ), intensity
13.49, 21
20.78, 12
31.76, 12
36.59, 53
36.98, 18
40.91, 100
42.45, 20
46.32, 10
47.41, 14
56.04, 14
56.31, 9
64.37, 9


Starting from a structure optimized by DFT (PBE), the powder XRD pattern of Er5MgPb4 was computed for Cu Kα.
Peak positions follow from Bragg's law for the DFT cell and can differ from measured ones.

Atomic structure:
Cell lengths 7.538, 7.538, 7.538 Å; angles 100.25, 100.25, 130.10 degrees
Element x y z (fractional)
Er: 0.000 0.000 0.000
Er: 0.032 0.807 0.405
Er: 0.402 0.627 0.595
Er: 0.627 0.032 0.225
Er: 0.807 0.402 0.775
Mg: 0.495 0.495 0.000
Pb: 0.115 0.496 0.172
Pb: 0.324 0.943 0.828
Pb: 0.496 0.324 0.382
Pb: 0.943 0.115 0.618

Principal peaks in the range 2θ from 5° to 70°, in order of rising 2θ:
Position (°2θ), intensity
16.69, 10
28.06, 35
29.22, 100
31.04, 21
33.74, 16
36.37, 13
38.68, 12
40.96, 67
41.79, 34
51.10, 26
66.26, 19
68.66, 13


What is the formula in the ninth record? ErMgNi10